Structure and computed powder X-ray diffraction pattern of Zr12Ti4Ni8O (a cell relaxed with GGA+U; Cu Kα, 1.54184 Å).

Main lines, low angle first (2θ from 5° to 70°):
d 2.978, 30.0°, I = 8; d 2.732, 32.8°, I = 15; d 2.432, 37.0°, I = 36; d 2.427, 37.0°, I = 9; d 2.292, 39.3°, I = 100; d 2.287, 39.4°, I = 10; d 2.106, 43.0°, I = 26; d 1.986, 45.7°, I = 7; d 1.668, 55.0°, I = 7; d 1.404, 66.6°, I = 27; d 1.402, 66.7°, I = 15; d 1.376, 68.1°, I = 7

Atomic structure:
```
data_Zr12Ti4Ni8O
_chemical_formula_sum 'Zr36 Ti12 Ni24 O3'
_symmetry_space_group_name_H-M 'R -3 m'
_symmetry_Int_Tables_number 166
_symmetry_space_group_name_Hall '-R 3 2"'
_cell_length_a 8.4302
_cell_length_b 8.4302
_cell_length_c 20.5874
_cell_angle_alpha 90.00
_cell_angle_beta 90.00
_cell_angle_gamma 120.00
loop_
_atom_site_label
_atom_site_fract_x
_atom_site_fract_y
_atom_site_fract_z
Zr1 0.0728 0.5364 0.3542
Zr2 0.0739 0.5369 0.1053
Ti1 0.0000 0.0000 0.0000
Ti2 0.0000 0.5000 0.5000
Ni1 0.0000 0.0000 0.2088
Ni2 0.1044 0.2088 0.0993
O1 0.0000 0.0000 0.5000
```